Calculated XRD peak list
Compound: HoTiAu4
Radiation: a wavelength of 1.5418 Å
Structure: DFT lattice parameters and positions (PBE)

Most intense lines, 2θ = 10–90°, most intense first:
2θ/deg  d (Å)  Rel. int.  (hkl)
39.42  2.286  100  1 0 3
35.37  2.537  69  1 1 0
66.22  1.411  44  2 1 3
50.89  1.794  25  2 0 0
74.07  1.280  14  1 1 6
85.59  1.135  12  3 1 0
88.05  1.109  11  3 0 3
84.84  1.143  10  2 0 6
26.79  3.328  9  1 0 1
74.84  1.269  8  2 2 0

Cell and atoms:
abc: 3.588 3.588 8.895
angles: 90.00 90.00 90.00
Fractional positions:
Ho: 0.000 0.000 0.000
Ti: 0.500 0.500 0.500
Au: 0.000 0.000 0.344
Au: 0.000 0.000 0.656
Au: 0.500 0.500 0.178
Au: 0.500 0.500 0.822